The following is a computed powder X-ray diffraction pattern of MnAgPt2. It was derived from a structure optimized by DFT (PBE), using Cu Kα (λ = 1.5418 Å).
No peak broadening, texture or thermal motion is included.

Structural model:
```
data_MnAgPt2
_cell_length_a 6.3654
_cell_length_b 6.3654
_cell_length_c 6.3654
_cell_angle_alpha 90.00
_cell_angle_beta 90.00
_cell_angle_gamma 90.00
_space_group_name_H-M_alt 'F -4 3 m'
_space_group_IT_number 216
_space_group_name_Hall 'F -4 2 3'
loop_
_atom_site_label
_atom_site_type_symbol
_atom_site_fract_x
_atom_site_fract_y
_atom_site_fract_z
Mn1 Mn 0.0000 0.0000 0.0000
Ag1 Ag 0.2500 0.2500 0.7500
Pt1 Pt 0.0000 0.0000 0.5000
Pt2 Pt 0.2500 0.2500 0.2500
```

Largest 9 diffraction maxima, in order of rising 2θ, 10° ≤ 2θ ≤ 90°:
- 24.22 deg, d 3.675, I 19.3, hkl 1 1 1
- 28.04 deg, d 3.183, I 1.4, hkl 2 0 0
- 40.06 deg, d 2.251, I 100.0, hkl 2 2 0
- 47.37 deg, d 1.919, I 10.5, hkl 3 1 1
- 57.95 deg, d 1.591, I 16.8, hkl 4 0 0
- 63.73 deg, d 1.460, I 4.6, hkl 3 3 1
- 72.79 deg, d 1.299, I 33.9, hkl 4 2 2
- 78.00 deg, d 1.225, I 3.6, hkl 5 1 1
- 86.49 deg, d 1.125, I 11.1, hkl 4 4 0

The following is a computed powder X-ray diffraction pattern of RbMnAgSe2. It was derived from a structure optimized by DFT (PBE), using Cu Kα (λ = 1.5418 Å).
No peak broadening, texture or thermal motion is included.

Structural model:
```
data_RbMnAgSe2
_cell_length_a 6.3025
_cell_length_b 14.4890
_cell_length_c 6.3260
_cell_angle_alpha 90.00
_cell_angle_beta 90.00
_cell_angle_gamma 90.00
_space_group_name_H-M_alt 'C m m e'
_space_group_IT_number 67
_space_group_name_Hall '-C 2a 2'
loop_
_atom_site_label
_atom_site_type_symbol
_atom_site_fract_x
_atom_site_fract_y
_atom_site_fract_z
Rb1 Rb 0.0000 0.2500 0.2346
Mn1 Mn 0.2500 0.0000 0.5000
Ag1 Ag 0.0000 0.0000 0.0000
Se1 Se 0.0000 0.1119 0.6991
```

Largest 10 diffraction maxima, in order of rising 2θ, 10° ≤ 2θ ≤ 90°:
- 12.22 deg, d 7.245, I 41.8, hkl 0 2 0
- 27.20 deg, d 3.279, I 100.0, hkl 1 3 1
- 28.34 deg, d 3.150, I 55.9, hkl 2 0 0
- 30.85 deg, d 2.899, I 41.9, hkl 0 2 2
- 34.11 deg, d 2.628, I 27.2, hkl 2 2 1
- 36.98 deg, d 2.431, I 18.7, hkl 1 5 1
- 40.53 deg, d 2.226, I 36.1, hkl 2 4 1
- 47.37 deg, d 1.919, I 24.7, hkl 0 6 2
- 49.46 deg, d 1.843, I 18.6, hkl 3 3 1
- 87.32 deg, d 1.117, I 19.4, hkl 2 4 5

The following is a computed powder X-ray diffraction pattern of RbMnAgSe3. It was derived from a structure optimized by DFT (PBE), using Cu Kα (λ = 1.5418 Å).
No peak broadening, texture or thermal motion is included.

Structural model:
```
data_RbMnAgSe3
_cell_length_a 6.9976
_cell_length_b 13.7605
_cell_length_c 6.8414
_cell_angle_alpha 90.00
_cell_angle_beta 90.00
_cell_angle_gamma 90.00
_space_group_name_H-M_alt 'C m c m'
_space_group_IT_number 63
_space_group_name_Hall '-C 2c 2'
loop_
_atom_site_label
_atom_site_type_symbol
_atom_site_fract_x
_atom_site_fract_y
_atom_site_fract_z
Rb1 Rb 0.0000 0.2461 0.2500
Mn1 Mn 0.0000 0.0571 0.7500
Ag1 Ag 0.0000 0.4169 0.7500
Se1 Se 0.0000 0.2273 0.7500
Se2 Se 0.2324 0.0000 0.0000
```

Largest 10 diffraction maxima, in order of rising 2θ, 10° ≤ 2θ ≤ 90°:
- 12.87 deg, d 6.880, I 25.6, hkl 0 2 0
- 25.90 deg, d 3.440, I 37.2, hkl 0 4 0
- 26.64 deg, d 3.346, I 61.3, hkl 1 3 1
- 28.62 deg, d 3.119, I 39.3, hkl 2 2 0
- 29.15 deg, d 3.063, I 38.8, hkl 0 2 2
- 36.74 deg, d 2.446, I 100.0, hkl 2 0 2
- 45.53 deg, d 1.992, I 44.0, hkl 2 4 2
- 47.40 deg, d 1.918, I 37.6, hkl 2 6 0
- 47.74 deg, d 1.905, I 37.6, hkl 0 6 2
- 73.49 deg, d 1.289, I 23.2, hkl 4 6 2

The following is a computed powder X-ray diffraction pattern of MnAgRu2. It was derived from a structure optimized by DFT (PBE), using Cu Kα (λ = 1.5418 Å).
No peak broadening, texture or thermal motion is included.

Structural model:
```
data_MnAgRu2
_cell_length_a 9.0596
_cell_length_b 2.7860
_cell_length_c 4.7876
_cell_angle_alpha 90.00
_cell_angle_beta 100.66
_cell_angle_gamma 90.00
_space_group_name_H-M_alt 'C 1 m 1'
_space_group_IT_number 8
_space_group_name_Hall 'C -2y'
loop_
_atom_site_label
_atom_site_type_symbol
_atom_site_fract_x
_atom_site_fract_y
_atom_site_fract_z
Mn1 Mn 0.0000 0.0000 0.0000
Ag1 Ag 0.2549 0.5000 0.2353
Ru1 Ru 0.0121 0.5000 0.5388
Ru2 Ru 0.2545 0.0000 0.7285
```

Largest 10 diffraction maxima, in order of rising 2θ, 10° ≤ 2θ ≤ 90°:
- 39.87 deg, d 2.261, I 100.0, hkl 1 1 1
- 40.53 deg, d 2.226, I 32.9, hkl 4 0 0
- 46.39 deg, d 1.957, I 44.0, hkl 3 1 -1
- 46.90 deg, d 1.937, I 19.0, hkl 2 0 2
- 67.20 deg, d 1.393, I 7.0, hkl 0 2 0
- 67.66 deg, d 1.385, I 11.2, hkl 1 1 -3
- 68.54 deg, d 1.369, I 12.2, hkl 5 1 1
- 81.10 deg, d 1.186, I 7.6, hkl 2 2 -2
- 81.55 deg, d 1.180, I 15.0, hkl 4 2 0
- 82.42 deg, d 1.170, I 7.8, hkl 7 1 -1

The following is a computed powder X-ray diffraction pattern of Mn2AgS4. It was derived from a structure optimized by DFT (PBE), using Cu Kα (λ = 1.5418 Å).
No peak broadening, texture or thermal motion is included.

Structural model:
a b c (Å): 10.0257 10.0257 10.0257
angles (deg): 90.00 90.00 90.00
Space group Fd-3m (No. 227, origin choice 2)
Unique sites:
Mn  0.0000  0.0000  0.0000 [16 per cell]
Ag  0.1250  0.1250  0.6250 [8 per cell]
S  0.0158  0.0158  0.2342 [32 per cell]

Largest 10 diffraction maxima, in order of rising 2θ, 10° ≤ 2θ ≤ 90°:
- 25.12 deg, d 3.545, I 63.2, hkl 2 2 0
- 29.55 deg, d 3.023, I 100.0, hkl 3 1 1
- 35.83 deg, d 2.506, I 13.0, hkl 4 0 0
- 44.26 deg, d 2.046, I 22.4, hkl 4 2 2
- 47.10 deg, d 1.929, I 53.0, hkl 5 1 1
- 51.57 deg, d 1.772, I 65.2, hkl 4 4 0
- 60.56 deg, d 1.529, I 12.7, hkl 5 3 3
- 70.26 deg, d 1.340, I 14.3, hkl 6 4 2
- 72.40 deg, d 1.305, I 17.5, hkl 5 5 3
- 83.51 deg, d 1.158, I 12.7, hkl 5 5 5

The following is a computed powder X-ray diffraction pattern of MnAgS2. It was derived from a structure optimized by DFT (PBE), using Cu Kα (λ = 1.5418 Å).
No peak broadening, texture or thermal motion is included.

Structural model:
```
data_MnAgS2
_cell_length_a 5.8804
_cell_length_b 3.2137
_cell_length_c 7.7305
_cell_angle_alpha 90.00
_cell_angle_beta 111.88
_cell_angle_gamma 90.00
_space_group_name_H-M_alt 'P 1 m 1'
_space_group_IT_number 6
_space_group_name_Hall 'P -2y'
loop_
_atom_site_label
_atom_site_type_symbol
_atom_site_fract_x
_atom_site_fract_y
_atom_site_fract_z
Mn1 Mn 0.0000 0.0000 0.0000
Mn2 Mn 0.3286 0.5000 0.8926
Ag1 Ag 0.5568 0.5000 0.4926
Ag2 Ag 0.9045 0.0000 0.3737
S1 S 0.2566 0.5000 0.1708
S2 S 0.2902 0.0000 0.6572
S3 S 0.6384 0.0000 0.0371
S4 S 0.9161 0.5000 0.7841
```

Largest 10 diffraction maxima, in order of rising 2θ, 10° ≤ 2θ ≤ 90°:
- 23.89 deg, d 3.725, I 30.8, hkl 1 0 1
- 24.82 deg, d 3.587, I 26.7, hkl 0 0 2
- 32.36 deg, d 2.767, I 100.0, hkl 1 1 -1
- 33.02 deg, d 2.713, I 48.1, hkl 2 0 -2
- 34.67 deg, d 2.587, I 16.4, hkl 1 0 2
- 37.07 deg, d 2.425, I 46.4, hkl 1 1 -2
- 46.78 deg, d 1.942, I 22.6, hkl 1 0 3
- 47.39 deg, d 1.918, I 39.2, hkl 0 1 3
- 48.94 deg, d 1.861, I 37.6, hkl 2 1 1
- 57.34 deg, d 1.607, I 14.8, hkl 0 2 0

The following is a computed powder X-ray diffraction pattern of MnAgS4. It was derived from a structure optimized by DFT (PBE), using Cu Kα (λ = 1.5418 Å).
No peak broadening, texture or thermal motion is included.

Structural model:
```
data_MnAgS4
_cell_length_a 6.6922
_cell_length_b 6.8854
_cell_length_c 7.0630
_cell_angle_alpha 67.28
_cell_angle_beta 72.05
_cell_angle_gamma 63.08
_space_group_name_H-M_alt 'P -1'
_space_group_IT_number 2
_space_group_name_Hall '-P 1'
loop_
_atom_site_label
_atom_site_type_symbol
_atom_site_fract_x
_atom_site_fract_y
_atom_site_fract_z
Mn1 Mn 0.2085 0.2134 0.0006
Ag1 Ag 0.1711 0.9138 0.8343
S1 S 0.0011 0.7669 0.6652
S2 S 0.1121 0.4979 0.1679
S3 S 0.3852 0.1785 0.6661
S4 S 0.4101 0.8157 0.1692
```

Largest 10 diffraction maxima, in order of rising 2θ, 10° ≤ 2θ ≤ 90°:
- 13.77 deg, d 6.429, I 92.7, hkl 0 0 1
- 15.07 deg, d 5.879, I 100.0, hkl 0 1 0
- 18.71 deg, d 4.742, I 39.2, hkl 1 0 1
- 27.80 deg, d 3.209, I 45.5, hkl -1 1 1
- 29.74 deg, d 3.004, I 51.2, hkl 1 -1 1
- 32.54 deg, d 2.752, I 19.4, hkl 2 1 2
- 35.57 deg, d 2.524, I 37.2, hkl 2 1 -1
- 39.31 deg, d 2.292, I 18.9, hkl 1 -1 2
- 40.38 deg, d 2.234, I 29.0, hkl 1 2 3
- 40.88 deg, d 2.208, I 22.4, hkl 2 3 1

The following is a computed powder X-ray diffraction pattern of Sm3MnAg3S8. It was derived from a structure optimized by DFT (PBE), using Cu Kα (λ = 1.5418 Å).
No peak broadening, texture or thermal motion is included.

Structural model:
```
data_Sm3MnAg3S8
_cell_length_a 13.3432
_cell_length_b 7.9727
_cell_length_c 7.8035
_cell_angle_alpha 90.00
_cell_angle_beta 123.70
_cell_angle_gamma 90.00
_space_group_name_H-M_alt 'C 1 2/m 1'
_space_group_IT_number 12
_space_group_name_Hall '-C 2y'
loop_
_atom_site_label
_atom_site_type_symbol
_atom_site_fract_x
_atom_site_fract_y
_atom_site_fract_z
Sm1 Sm 0.0000 0.0000 0.0000
Sm2 Sm 0.2500 0.2500 0.5000
Mn1 Mn 0.0000 0.5000 0.0000
Ag1 Ag 0.0000 0.5000 0.5000
Ag2 Ag 0.2500 0.2500 0.0000
S1 S 0.0020 0.2836 0.7833
S2 S 0.2185 0.5000 0.2163
S3 S 0.2484 0.0000 0.2536
```

Largest 10 diffraction maxima, in order of rising 2θ, 10° ≤ 2θ ≤ 90°:
- 15.92 deg, d 5.567, I 27.2, hkl 2 0 0
- 27.52 deg, d 3.241, I 64.8, hkl 2 2 0
- 28.44 deg, d 3.138, I 19.7, hkl 4 0 -2
- 32.11 deg, d 2.787, I 100.0, hkl 2 2 -2
- 32.26 deg, d 2.775, I 49.5, hkl 4 0 0
- 45.52 deg, d 1.993, I 52.4, hkl 2 2 2
- 46.58 deg, d 1.950, I 16.4, hkl 4 0 -4
- 46.78 deg, d 1.942, I 32.5, hkl 6 2 -2
- 56.87 deg, d 1.619, I 16.9, hkl 4 4 0
- 75.58 deg, d 1.258, I 13.6, hkl 0 4 4

The following is a computed powder X-ray diffraction pattern of Mn3AgSn2S8. It was derived from a structure optimized by DFT (PBE), using Cu Kα (λ = 1.5418 Å).
No peak broadening, texture or thermal motion is included.

Structural model:
```
data_Mn3AgSn2S8
_cell_length_a 7.2819
_cell_length_b 7.2819
_cell_length_c 19.1371
_cell_angle_alpha 90.00
_cell_angle_beta 90.00
_cell_angle_gamma 120.00
_space_group_name_H-M_alt 'R 3 m'
_space_group_IT_number 160
_space_group_name_Hall 'R 3 -2"'
loop_
_atom_site_label
_atom_site_type_symbol
_atom_site_fract_x
_atom_site_fract_y
_atom_site_fract_z
Mn1 Mn 0.1713 0.3427 0.0000
Ag1 Ag 0.0000 0.0000 0.5324
Sn1 Sn 0.0000 0.0000 0.1725
Sn2 Sn 0.0000 0.0000 0.7987
S1 S 0.0000 0.0000 0.4030
S2 S 0.0000 0.0000 0.9399
S3 S 0.0218 0.5109 0.9291
S4 S 0.1816 0.3632 0.7365
```

Largest 10 diffraction maxima, in order of rising 2θ, 10° ≤ 2θ ≤ 90°:
- 23.34 deg, d 3.812, I 20.4, hkl 1 0 4
- 24.45 deg, d 3.641, I 50.9, hkl 1 1 0
- 27.26 deg, d 3.272, I 34.5, hkl 0 1 5
- 28.22 deg, d 3.162, I 100.0, hkl 1 1 3
- 34.05 deg, d 2.633, I 21.8, hkl 0 2 4
- 43.83 deg, d 2.066, I 19.4, hkl 0 2 7
- 44.79 deg, d 2.023, I 26.1, hkl 1 2 5
- 45.43 deg, d 1.996, I 28.5, hkl 0 3 3
- 47.72 deg, d 1.906, I 42.2, hkl 2 0 8
- 50.11 deg, d 1.820, I 44.9, hkl 2 2 0

The following is a computed powder X-ray diffraction pattern of Ta2MnAg2S6. It was derived from a structure optimized by DFT (PBE), using Cu Kα (λ = 1.5418 Å).
No peak broadening, texture or thermal motion is included.

Structural model:
```
data_Ta2MnAg2S6
_cell_length_a 5.7151
_cell_length_b 10.4155
_cell_length_c 7.5699
_cell_angle_alpha 90.00
_cell_angle_beta 98.89
_cell_angle_gamma 90.00
_space_group_name_H-M_alt 'C 1 2/m 1'
_space_group_IT_number 12
_space_group_name_Hall '-C 2y'
loop_
_atom_site_label
_atom_site_type_symbol
_atom_site_fract_x
_atom_site_fract_y
_atom_site_fract_z
Ta1 Ta 0.0000 0.1359 0.0000
Mn1 Mn 0.0000 0.5000 0.0000
Ag1 Ag 0.0000 0.3445 0.5000
S1 S 0.1112 0.3347 0.8190
S2 S 0.1458 0.0000 0.7826
```

Largest 10 diffraction maxima, in order of rising 2θ, 10° ≤ 2θ ≤ 90°:
- 11.83 deg, d 7.479, I 55.3, hkl 0 0 1
- 20.08 deg, d 4.422, I 36.4, hkl 1 1 -1
- 22.81 deg, d 3.899, I 32.5, hkl 1 1 1
- 23.79 deg, d 3.740, I 37.8, hkl 0 0 2
- 31.64 deg, d 2.828, I 100.0, hkl 1 3 -1
- 33.47 deg, d 2.677, I 21.1, hkl 1 3 1
- 43.02 deg, d 2.102, I 19.3, hkl 2 0 2
- 45.66 deg, d 1.987, I 22.2, hkl 1 3 -3
- 49.70 deg, d 1.834, I 25.0, hkl 1 3 3
- 55.20 deg, d 1.664, I 17.0, hkl 3 3 -1

The following is a computed powder X-ray diffraction pattern of Tb3MnAg4S8. It was derived from a structure optimized by DFT (PBE), using Cu Kα (λ = 1.5418 Å).
No peak broadening, texture or thermal motion is included.

Structural model:
```
data_Tb3MnAg4S8
_cell_length_a 13.1517
_cell_length_b 7.8221
_cell_length_c 8.8137
_cell_angle_alpha 90.00
_cell_angle_beta 128.44
_cell_angle_gamma 90.00
_space_group_name_H-M_alt 'C 1 2/m 1'
_space_group_IT_number 12
_space_group_name_Hall '-C 2y'
loop_
_atom_site_label
_atom_site_type_symbol
_atom_site_fract_x
_atom_site_fract_y
_atom_site_fract_z
Tb1 Tb 0.0000 0.0000 0.0000
Tb2 Tb 0.2500 0.2500 0.5000
Mn1 Mn 0.0000 0.5000 0.0000
Ag1 Ag 0.0000 0.0000 0.5000
Ag2 Ag 0.0000 0.5000 0.5000
Ag3 Ag 0.2500 0.2500 0.0000
S1 S 0.0126 0.2812 0.8185
S2 S 0.2317 0.0000 0.6991
S3 S 0.2394 0.5000 0.7079
```

Largest 10 diffraction maxima, in order of rising 2θ, 10° ≤ 2θ ≤ 90°:
- 25.81 deg, d 3.452, I 32.1, hkl 0 0 2
- 27.47 deg, d 3.247, I 24.3, hkl 4 0 -2
- 28.66 deg, d 3.115, I 42.8, hkl 2 2 0
- 30.59 deg, d 2.923, I 100.0, hkl 2 2 -2
- 34.84 deg, d 2.575, I 37.0, hkl 4 0 0
- 41.04 deg, d 2.199, I 18.4, hkl 4 0 -4
- 46.00 deg, d 1.973, I 28.3, hkl 2 2 2
- 46.44 deg, d 1.956, I 15.4, hkl 0 4 0
- 48.04 deg, d 1.894, I 28.6, hkl 6 2 -2
- 49.86 deg, d 1.829, I 15.0, hkl 2 2 -4

The following is a computed powder X-ray diffraction pattern of MnAg2Sb. It was derived from a structure optimized by DFT (PBE), using Cu Kα (λ = 1.5418 Å).
No peak broadening, texture or thermal motion is included.

Structural model:
```
data_MnAg2Sb
_cell_length_a 3.2059
_cell_length_b 3.2059
_cell_length_c 27.3203
_cell_angle_alpha 90.00
_cell_angle_beta 90.00
_cell_angle_gamma 120.00
_space_group_name_H-M_alt 'R -3 m'
_space_group_IT_number 166
_space_group_name_Hall '-R 3 2"'
loop_
_atom_site_label
_atom_site_type_symbol
_atom_site_fract_x
_atom_site_fract_y
_atom_site_fract_z
Mn1 Mn 0.0000 0.0000 0.0000
Ag1 Ag 0.0000 0.0000 0.2575
Sb1 Sb 0.0000 0.0000 0.5000
```

Largest 10 diffraction maxima, in order of rising 2θ, 10° ≤ 2θ ≤ 90°:
- 29.42 deg, d 3.036, I 8.1, hkl 0 0 9
- 34.88 deg, d 2.572, I 100.0, hkl 1 0 4
- 36.29 deg, d 2.475, I 7.7, hkl 0 1 5
- 39.58 deg, d 2.277, I 19.8, hkl 0 0 12
- 41.94 deg, d 2.154, I 55.6, hkl 0 1 8
- 57.49 deg, d 1.603, I 22.7, hkl 1 1 0
- 64.02 deg, d 1.454, I 11.7, hkl 1 0 16
- 69.04 deg, d 1.360, I 12.5, hkl 0 2 4
- 72.06 deg, d 1.311, I 18.8, hkl 1 1 12
- 73.66 deg, d 1.286, I 9.8, hkl 2 0 8

Please write out number 7 again, unchanged.
The following is a computed powder X-ray diffraction pattern of MnAgS4. It was derived from a structure optimized by DFT (PBE), using Cu Kα (λ = 1.5418 Å).
No peak broadening, texture or thermal motion is included.

Structural model:
```
data_MnAgS4
_cell_length_a 6.6922
_cell_length_b 6.8854
_cell_length_c 7.0630
_cell_angle_alpha 67.28
_cell_angle_beta 72.05
_cell_angle_gamma 63.08
_space_group_name_H-M_alt 'P -1'
_space_group_IT_number 2
_space_group_name_Hall '-P 1'
loop_
_atom_site_label
_atom_site_type_symbol
_atom_site_fract_x
_atom_site_fract_y
_atom_site_fract_z
Mn1 Mn 0.2085 0.2134 0.0006
Ag1 Ag 0.1711 0.9138 0.8343
S1 S 0.0011 0.7669 0.6652
S2 S 0.1121 0.4979 0.1679
S3 S 0.3852 0.1785 0.6661
S4 S 0.4101 0.8157 0.1692
```

Largest 10 diffraction maxima, in order of rising 2θ, 10° ≤ 2θ ≤ 90°:
- 13.77 deg, d 6.429, I 92.7, hkl 0 0 1
- 15.07 deg, d 5.879, I 100.0, hkl 0 1 0
- 18.71 deg, d 4.742, I 39.2, hkl 1 0 1
- 27.80 deg, d 3.209, I 45.5, hkl -1 1 1
- 29.74 deg, d 3.004, I 51.2, hkl 1 -1 1
- 32.54 deg, d 2.752, I 19.4, hkl 2 1 2
- 35.57 deg, d 2.524, I 37.2, hkl 2 1 -1
- 39.31 deg, d 2.292, I 18.9, hkl 1 -1 2
- 40.38 deg, d 2.234, I 29.0, hkl 1 2 3
- 40.88 deg, d 2.208, I 22.4, hkl 2 3 1

Question: Number 6 is which compound?
Answer: MnAgS2

Copy entry 9 word for word.
The following is a computed powder X-ray diffraction pattern of Mn3AgSn2S8. It was derived from a structure optimized by DFT (PBE), using Cu Kα (λ = 1.5418 Å).
No peak broadening, texture or thermal motion is included.

Structural model:
```
data_Mn3AgSn2S8
_cell_length_a 7.2819
_cell_length_b 7.2819
_cell_length_c 19.1371
_cell_angle_alpha 90.00
_cell_angle_beta 90.00
_cell_angle_gamma 120.00
_space_group_name_H-M_alt 'R 3 m'
_space_group_IT_number 160
_space_group_name_Hall 'R 3 -2"'
loop_
_atom_site_label
_atom_site_type_symbol
_atom_site_fract_x
_atom_site_fract_y
_atom_site_fract_z
Mn1 Mn 0.1713 0.3427 0.0000
Ag1 Ag 0.0000 0.0000 0.5324
Sn1 Sn 0.0000 0.0000 0.1725
Sn2 Sn 0.0000 0.0000 0.7987
S1 S 0.0000 0.0000 0.4030
S2 S 0.0000 0.0000 0.9399
S3 S 0.0218 0.5109 0.9291
S4 S 0.1816 0.3632 0.7365
```

Largest 10 diffraction maxima, in order of rising 2θ, 10° ≤ 2θ ≤ 90°:
- 23.34 deg, d 3.812, I 20.4, hkl 1 0 4
- 24.45 deg, d 3.641, I 50.9, hkl 1 1 0
- 27.26 deg, d 3.272, I 34.5, hkl 0 1 5
- 28.22 deg, d 3.162, I 100.0, hkl 1 1 3
- 34.05 deg, d 2.633, I 21.8, hkl 0 2 4
- 43.83 deg, d 2.066, I 19.4, hkl 0 2 7
- 44.79 deg, d 2.023, I 26.1, hkl 1 2 5
- 45.43 deg, d 1.996, I 28.5, hkl 0 3 3
- 47.72 deg, d 1.906, I 42.2, hkl 2 0 8
- 50.11 deg, d 1.820, I 44.9, hkl 2 2 0